# 1
Diffraction record for Er4Ag. The powder diffractogram is theoretical, not measured: it uses DFT lattice parameters and positions (GGA-PBE) and CuKα.

Cell and atoms:
Cell lengths 8.2585, 6.6533, 9.6743 Å; angles 57.24, 42.65, 80.11 degrees
Fractional coordinates of all 10 atoms:
Er 0.1382 0.8618 0.2535
Er 0.4389 0.5250 0.3562
Er 0.5035 0.9965 0.3882
Er 0.5250 0.4389 0.6799
Er 0.5701 0.8938 0.7250
Er 0.8618 0.1382 0.7465
Er 0.8938 0.5701 0.8111
Er 0.9965 0.5035 0.1118
Ag 0.0493 0.0493 0.9507
Ag 0.2993 0.2993 0.2007

Top 12 peaks for 10 to 80 degrees two-theta, by angle:
| d_spacing | 2θ/deg | intensity |
| --- | --- | --- |
| 2.780 | 32.20 | 46.1 |
| 2.754 | 32.51 | 57.5 |
| 2.725 | 32.87 | 67.9 |
| 2.672 | 33.53 | 100.0 |
| 2.568 | 34.94 | 42.8 |
| 2.250 | 40.07 | 19.6 |
| 2.023 | 44.79 | 16.7 |
| 1.827 | 49.91 | 14.2 |
| 1.686 | 54.43 | 21.8 |
| 1.619 | 56.87 | 17.7 |
| 1.553 | 59.51 | 13.6 |
| 1.372 | 68.37 | 16.1 |

=====

# 2
Diffraction record for Sc4Al5Ag2. The powder diffractogram is theoretical, not measured: it uses DFT lattice parameters and positions (GGA-PBE) and CuKα.

Cell and atoms:
Cell lengths 7.1597, 3.1215, 9.4986 Å; angles 90.00, 93.93, 90.00 degrees
Fractional coordinates of all 11 atoms:
Sc 0.1656 0.0000 0.3941
Sc 0.2865 0.0000 0.9425
Sc 0.7135 0.0000 0.0575
Sc 0.8344 0.0000 0.6059
Al 0.1993 0.5000 0.6647
Al 0.4351 0.5000 0.2087
Al 0.5000 0.5000 0.5000
Al 0.5649 0.5000 0.7913
Al 0.8007 0.5000 0.3353
Ag 0.0612 0.5000 0.1411
Ag 0.9388 0.5000 0.8589

Top 12 peaks for 10 to 80 degrees two-theta, by angle:
| d_spacing | 2θ/deg | intensity |
| --- | --- | --- |
| 7.143 | 12.39 | 100.0 |
| 5.902 | 15.01 | 43.4 |
| 2.760 | 32.44 | 47.4 |
| 2.479 | 36.24 | 30.2 |
| 2.419 | 37.16 | 43.4 |
| 2.349 | 38.32 | 93.5 |
| 2.296 | 39.24 | 54.0 |
| 2.289 | 39.35 | 51.1 |
| 2.220 | 40.63 | 31.1 |
| 2.144 | 42.14 | 23.3 |
| 1.561 | 59.20 | 21.3 |
| 1.290 | 73.38 | 30.1 |

=====

# 3
Diffraction record for ZrBe9Tc2. The powder diffractogram is theoretical, not measured: it uses DFT lattice parameters and positions (GGA-PBE) and CuKα.

Cell and atoms:
Cell lengths 4.4268, 4.4268, 14.1039 Å; angles 90.00, 90.00, 120.00 degrees
Fractional coordinates of all 24 atoms:
Zr 0.3333 0.6667 0.2500
Zr 0.6667 0.3333 0.7500
Be 0.0000 0.0000 0.0000
Be 0.0000 0.0000 0.2500
Be 0.0000 0.0000 0.5000
Be 0.0000 0.0000 0.7500
Be 0.1692 0.3385 0.6217
Be 0.1692 0.3385 0.8783
Be 0.1692 0.8308 0.6217
Be 0.1692 0.8308 0.8783
Be 0.3333 0.6667 0.7500
Be 0.3385 0.1692 0.1217
Be 0.3385 0.1692 0.3783
Be 0.6615 0.8308 0.6217
Be 0.6615 0.8308 0.8783
Be 0.6667 0.3333 0.2500
Be 0.8308 0.1692 0.1217
Be 0.8308 0.1692 0.3783
Be 0.8308 0.6615 0.1217
Be 0.8308 0.6615 0.3783
Tc 0.3333 0.6667 0.0338
Tc 0.3333 0.6667 0.4662
Tc 0.6667 0.3333 0.5338
Tc 0.6667 0.3333 0.9662

Top 12 peaks for 10 to 80 degrees two-theta, by angle:
| d_spacing | 2θ/deg | intensity |
| --- | --- | --- |
| 7.052 | 12.55 | 36.8 |
| 3.834 | 23.20 | 64.9 |
| 3.699 | 24.06 | 73.7 |
| 3.526 | 25.26 | 43.5 |
| 2.595 | 34.56 | 32.0 |
| 2.272 | 39.67 | 100.0 |
| 2.213 | 40.77 | 75.8 |
| 1.899 | 47.89 | 18.5 |
| 1.875 | 48.57 | 65.0 |
| 1.585 | 58.19 | 25.1 |
| 1.450 | 64.23 | 30.4 |
| 1.289 | 73.47 | 30.7 |

=====

# 4
Diffraction record for Pa2Al3Co2. The powder diffractogram is theoretical, not measured: it uses DFT lattice parameters and positions (GGA-PBE) and CuKα.

Cell and atoms:
Cell lengths 4.9392, 4.9392, 6.6271 Å; angles 93.58, 93.58, 49.53 degrees
Fractional coordinates of all 7 atoms:
Pa 0.1227 0.1227 0.3615
Pa 0.8773 0.8773 0.6385
Al 0.1855 0.1855 0.8676
Al 0.5000 0.5000 0.0000
Al 0.8145 0.8145 0.1324
Co 0.3940 0.3940 0.3444
Co 0.6060 0.6060 0.6556

Top 12 peaks for 10 to 80 degrees two-theta, by angle:
| d_spacing | 2θ/deg | intensity |
| --- | --- | --- |
| 6.611 | 13.39 | 100.0 |
| 3.756 | 23.69 | 30.1 |
| 3.226 | 27.65 | 82.5 |
| 2.518 | 35.66 | 52.2 |
| 2.447 | 36.73 | 31.0 |
| 2.420 | 37.16 | 22.4 |
| 2.314 | 38.91 | 39.7 |
| 2.236 | 40.34 | 34.0 |
| 2.204 | 40.95 | 19.1 |
| 2.069 | 43.75 | 27.9 |
| 2.007 | 45.19 | 19.2 |
| 1.519 | 61.00 | 20.2 |